For La7Nb3W4O30, a PBE+U-relaxed structure gives the computed powder XRD pattern in this record (Cu Kα X-rays).
No peak broadening, texture or thermal motion is included.

Structural model:
```
La7Nb3W4O30
1.0
6.9262 0.0000 0.0000
-2.2018 10.0094 0.0000
-2.3163 -5.0068 8.6619
La Nb W O
7 3 4 30
Direct
0.0000 0.0000 0.0000 La
0.1193 0.5651 0.7637 La
0.3590 0.2355 0.8034 La
0.4499 0.8052 0.5666 La
0.5501 0.1948 0.4334 La
0.6410 0.7645 0.1966 La
0.8807 0.4349 0.2363 La
0.1510 0.7856 0.1722 Nb
0.5000 0.0000 0.0000 Nb
0.8490 0.2144 0.8278 Nb
0.0144 0.1644 0.3741 W
0.3592 0.3772 0.2101 W
0.6408 0.6228 0.7899 W
0.9856 0.8356 0.6259 W
0.0047 0.9472 0.2229 O
0.0300 0.6536 0.5204 O
0.0570 0.3370 0.7941 O
0.0694 0.2828 0.0611 O
0.2102 0.8614 0.8268 O
0.2184 0.2257 0.2821 O
0.2179 0.9525 0.6105 O
0.2449 0.1974 0.5329 O
0.2686 0.6590 0.0402 O
0.2868 0.5354 0.3399 O
0.3660 0.9718 0.1443 O
0.3879 0.8569 0.3484 O
0.3898 0.1777 0.0357 O
0.3953 0.6161 0.6606 O
0.4911 0.5135 0.8604 O
0.5089 0.4865 0.1396 O
0.6047 0.3839 0.3394 O
0.6102 0.8223 0.9643 O
0.6121 0.1431 0.6516 O
0.6340 0.0282 0.8557 O
0.7132 0.4646 0.6601 O
0.7314 0.3410 0.9598 O
0.7551 0.8026 0.4671 O
0.7821 0.0475 0.3895 O
0.7816 0.7743 0.7179 O
0.7898 0.1386 0.1732 O
0.9306 0.7172 0.9389 O
0.9430 0.6630 0.2059 O
0.9700 0.3464 0.4796 O
0.9953 0.0528 0.7771 O
```

Largest 10 diffraction maxima, in order of falling intensity, 10° ≤ 2θ ≤ 90°:
h k l, two_theta, I_rel
0 3 -1, 27.2, 100
-2 1 2, 30.3, 44
2 1 -1, 30.1, 24
0 2 -2, 20.5, 19
-2 4 1, 45.4, 13
2 -1 3, 45.0, 13
0 0 5, 52.8, 13
2 3 -4, 44.9, 13
0 2 2, 35.9, 12
4 2 -1, 65.5, 10